Calculated powder XRD pattern of SrAlO3 for CuKα, from DFT lattice parameters and positions (GGA-PBE).
Peak positions follow from Bragg's law for the DFT cell and can differ from measured ones.

Atomic structure:
abc: 3.8358 3.8358 3.8358
angles: 90.00 90.00 90.00
Sites, in units of the cell vectors:
1 Sr 0.0000 0.0000 0.0000
2 Al 0.5000 0.5000 0.5000
3 O 0.0000 0.5000 0.5000
4 O 0.5000 0.0000 0.5000
5 O 0.5000 0.5000 0.0000

Main lines, by angle (5° ≤ 2θ ≤ 70°):
hkl 1 0 0, 2θ 23.19, 3.836 Å, I 23
hkl 1 1 0, 2θ 33.03, 2.712 Å, I 100
hkl 1 1 1, 2θ 40.74, 2.215 Å, I 46
hkl 2 0 0, 2θ 47.40, 1.918 Å, I 47
hkl 2 1 0, 2θ 53.41, 1.715 Å, I 12
hkl 2 1 1, 2θ 58.98, 1.566 Å, I 39
hkl 2 2 0, 2θ 69.29, 1.356 Å, I 27